(1)
For LiSm2MgTl4, a cell relaxed with PBE gives the simulated X-ray powder pattern in this record (CuKα).

Crystal structure
Unit cell a=5.2907 b=5.2907 c=25.8042 alpha=90.00 beta=90.00 gamma=120.00
Space group R-3m (No. 166, hexagonal axes)
Inequivalent atoms, fractional coordinates:
Li 0.0000 0.0000 0.0000 x3
Sm 0.0000 0.0000 0.2482 x6
Mg 0.0000 0.0000 0.5000 x3
Tl 0.0000 0.0000 0.1222 x6
Tl 0.0000 0.0000 0.3728 x6

Principal peaks in the range 15 to 90 degrees two-theta, by intensity:
Position (°2θ)	intensity
33.89	100
33.99	98
60.68	57
23.82	41
48.76	36
20.59	26
60.90	18
81.39	16

***

(2)
For Rh3Cl4, a cell relaxed with PBE gives the simulated X-ray powder pattern in this record (CuKα).

Crystal structure
Unit cell a=6.586 b=6.586 c=6.586 alpha=90.00 beta=90.00 gamma=90.00
Space group Pm-3n (No. 223)
Inequivalent atoms, fractional coordinates:
Rh 0.000 0.250 0.500 x6
Cl 0.250 0.250 0.250 x8

Principal peaks in the range 15 to 90 degrees two-theta, by intensity:
Position (°2θ)	intensity
30.35	100
47.84	42
19.06	40
49.93	24
64.88	22
33.32	19
55.84	19
78.15	19

***

(3)
For MgBr, a cell relaxed with PBE gives the simulated X-ray powder pattern in this record (CuKα).

Crystal structure
Unit cell a=14.100 b=3.735 c=10.234 alpha=90.00 beta=132.51 gamma=90.00
Space group Cm (No. 8)
Inequivalent atoms, fractional coordinates:
Mg 0.000 0.000 0.000 x2
Mg 0.009 0.500 0.364 x2
Mg 0.337 0.000 0.695 x2
Br 0.092 0.000 0.605 x2
Br 0.203 0.500 0.385 x2
Br 0.361 0.500 0.127 x2

Principal peaks in the range 15 to 90 degrees two-theta, by intensity:
Position (°2θ)	intensity
25.29	100
30.55	58
30.41	52
26.60	38
27.01	34
44.33	30
38.99	25
43.84	24

***

(4)
For Rb4CePb3O12, a cell relaxed with PBE gives the simulated X-ray powder pattern in this record (CuKα).

Crystal structure
Unit cell a=8.833 b=8.833 c=8.833 alpha=90.00 beta=90.00 gamma=90.00
Space group Im-3m (No. 229)
Inequivalent atoms, fractional coordinates:
Rb 0.250 0.250 0.250 x8
Ce 0.000 0.000 0.000 x2
Pb 0.000 0.000 0.500 x6
O 0.000 0.000 0.253 x12
O 0.000 0.250 0.500 x12

Principal peaks in the range 15 to 90 degrees two-theta, by intensity:
Position (°2θ)	intensity
28.58	100
50.63	42
40.86	30
20.11	24
81.55	23
59.17	19
67.01	19
45.95	12